[1]
Structure and simulated powder diffractogram of BaCu2P2 (a DFT-relaxed cell (GGA-PBE, the Materials Project); Cu Kα X-rays).
Neutral-atom scattering factors, no anomalous dispersion.

Atomic structure:
```
20
Lattice="0.0000 11.1085 11.9392 2.6824 0.0000 11.9392 2.6824 11.1085 0.0000" Properties=species:S:1:pos:R:3 pbc="T T T"
Ba 0.0000 0.0000 0.0000
Ba 1.3412 5.5542 0.0000
Ba 1.3412 0.0000 5.9696
Ba 0.0000 5.5542 5.9696
Cu 3.0236 7.7813 5.6675
Cu 4.3648 14.4357 11.6371
Cu 3.0236 8.8814 12.2413
Cu 1.0000 8.8814 5.6675
Cu 4.3648 13.3355 18.2109
Cu 2.3412 13.3355 11.6371
Cu 1.0000 7.7813 12.2413
Cu 2.3412 14.4357 18.2109
P 2.8191 3.7426 9.7034
P 4.1603 9.2968 14.1750
P 1.2045 3.7426 8.2054
P 2.8191 12.9201 8.2054
P 2.5457 9.2968 15.6730
P 4.1603 18.4743 15.6730
P 1.2045 12.9201 9.7034
P 2.5457 18.4743 14.1750
```

Peak list (10 most intense, 10° ≤ 2θ ≤ 80°, in order of rising 2θ)
- 2θ 10.88, rel. 49
- 2θ 14.84, rel. 100
- 2θ 26.31, rel. 54
- 2θ 28.39, rel. 17
- 2θ 29.94, rel. 24
- 2θ 32.19, rel. 28
- 2θ 33.01, rel. 24
- 2θ 35.23, rel. 23
- 2θ 35.66, rel. 20
- 2θ 41.40, rel. 23

---

[2]
Structure and simulated powder diffractogram of TmBO3 (a DFT-relaxed cell (GGA-PBE, the Materials Project); Cu Kα X-rays).
Neutral-atom scattering factors, no anomalous dispersion.

Atomic structure:
```
10
Lattice="8.4707 0.0000 0.0000 0.0000 3.2647 2.1038 0.0000 -3.2647 2.1038" Properties=species:S:1:pos:R:3 pbc="T T T"
Tm 0.0000 0.0000 0.0000
Tm 4.2353 0.0000 0.0000
B 2.1177 0.8756 2.3805
B 6.3530 -0.8756 2.3805
O 0.8604 1.1254 1.8277
O 2.1177 0.3471 3.6494
O 3.3749 1.1254 1.8277
O 5.0957 -1.1254 1.8277
O 6.3530 -0.3471 3.6494
O 7.6103 -1.1254 1.8277
```

Peak list (10 most intense, 10° ≤ 2θ ≤ 80°, in order of rising 2θ)
- 2θ 20.98, rel. 69
- 2θ 25.18, rel. 99
- 2θ 27.32, rel. 44
- 2θ 33.00, rel. 100
- 2θ 34.69, rel. 39
- 2θ 47.01, rel. 32
- 2θ 50.21, rel. 42
- 2θ 51.43, rel. 21
- 2θ 52.00, rel. 30
- 2θ 56.38, rel. 30

---

[3]
Structure and simulated powder diffractogram of Ba2CaSm2Ti3Cu2O14 (a DFT-relaxed cell (GGA-PBE, the Materials Project); Cu Kα X-rays).
Neutral-atom scattering factors, no anomalous dispersion.

Atomic structure:
```
24
Lattice="3.8862 0.0000 0.0000 0.0000 3.8862 0.0000 0.0000 0.0000 20.7811" Properties=species:S:1:pos:R:3 pbc="T T T"
Ba 0.0000 0.0000 3.5240
Ba 0.0000 0.0000 17.2571
Ca 0.0000 0.0000 0.0000
Sm 0.0000 0.0000 8.2374
Sm 0.0000 0.0000 12.5437
Ti 1.9431 1.9431 6.2744
Ti 1.9431 1.9431 10.3905
Ti 1.9431 1.9431 14.5067
Cu 1.9431 1.9431 1.4954
Cu 1.9431 1.9431 19.2857
O 0.0000 1.9431 1.5845
O 0.0000 1.9431 6.6828
O 0.0000 1.9431 10.3905
O 0.0000 1.9431 14.0983
O 0.0000 1.9431 19.1966
O 1.9431 0.0000 1.5845
O 1.9431 0.0000 6.6828
O 1.9431 0.0000 10.3905
O 1.9431 0.0000 14.0983
O 1.9431 0.0000 19.1966
O 1.9431 1.9431 4.4921
O 1.9431 1.9431 8.4674
O 1.9431 1.9431 12.3137
O 1.9431 1.9431 16.2890
```

Peak list (10 most intense, 10° ≤ 2θ ≤ 80°, in order of rising 2θ)
- 2θ 17.07, rel. 21
- 2θ 22.88, rel. 16
- 2θ 28.69, rel. 40
- 2θ 31.52, rel. 100
- 2θ 32.58, rel. 65
- 2θ 38.15, rel. 14
- 2θ 39.30, rel. 26
- 2θ 46.75, rel. 45
- 2θ 51.71, rel. 22
- 2θ 57.47, rel. 36

---

[4]
Structure and simulated powder diffractogram of KNaCl2 (a DFT-relaxed cell (GGA-PBE, the Materials Project); Cu Kα X-rays).
Neutral-atom scattering factors, no anomalous dispersion.

Atomic structure:
```
4
Lattice="2.1243 1.2265 7.0126 -2.1243 1.2265 7.0126 0.0000 -2.4529 7.0126" Properties=species:S:1:pos:R:3 pbc="T T T"
K 0.0000 0.0000 0.0000
Na 0.0000 0.0000 10.5189
Cl 0.0000 0.0000 5.0703
Cl 0.0000 0.0000 15.9675
```

Peak list (10 most intense, 10° ≤ 2θ ≤ 80°, in order of rising 2θ)
- 2θ 29.63, rel. 100
- 2θ 32.32, rel. 6
- 2θ 42.24, rel. 31
- 2θ 42.56, rel. 34
- 2θ 52.71, rel. 16
- 2θ 61.52, rel. 9
- 2θ 69.52, rel. 10
- 2θ 69.97, rel. 13
- 2θ 77.67, rel. 9
- 2θ 77.89, rel. 5

---

[5]
Structure and simulated powder diffractogram of Cs3Sb2Cl9 (a DFT-relaxed cell (GGA-PBE, the Materials Project); Cu Kα X-rays).
Neutral-atom scattering factors, no anomalous dispersion.

Atomic structure:
```
14
Lattice="7.7965 0.0000 0.0000 -3.8983 6.7520 0.0000 0.0000 0.0000 9.5367" Properties=species:S:1:pos:R:3 pbc="T T T"
Cs 0.0000 0.0000 0.0000
Cs 0.0000 4.5013 3.1897
Cs 3.8983 2.2507 6.3470
Sb 0.0000 4.5013 7.8135
Sb 3.8983 2.2507 1.7233
Cl -1.9491 3.3760 0.0000
Cl 0.0000 2.4002 6.4043
Cl -1.8196 5.5519 6.4043
Cl 2.0787 1.2001 3.1325
Cl 3.8983 0.0000 0.0000
Cl 1.9491 3.3760 0.0000
Cl 1.8196 5.5519 6.4043
Cl 5.7179 1.2001 3.1325
Cl 3.8983 4.3518 3.1325
```

Peak list (10 most intense, 10° ≤ 2θ ≤ 80°, in order of rising 2θ)
- 2θ 13.11, rel. 13
- 2θ 22.82, rel. 100
- 2θ 28.05, rel. 36
- 2θ 32.50, rel. 68
- 2θ 40.08, rel. 47
- 2θ 46.62, rel. 46
- 2θ 52.51, rel. 23
- 2θ 57.97, rel. 15
- 2θ 63.13, rel. 25
- 2θ 77.46, rel. 19

---

[6]
Structure and simulated powder diffractogram of NaPO4 (a DFT-relaxed cell (GGA-PBE, the Materials Project); Cu Kα X-rays).
Neutral-atom scattering factors, no anomalous dispersion.

Atomic structure:
```
48
Lattice="6.5341 0.0000 0.0000 0.0000 13.5913 0.0000 -0.8349 0.0000 9.5680" Properties=species:S:1:pos:R:3 pbc="T T T"
Na -0.2794 1.7462 4.5913
Na -0.6969 5.0495 9.3753
Na 2.5854 1.5172 0.1109
Na 2.1679 5.2785 4.8949
Na 3.5312 8.3129 4.6731
Na 3.1138 12.0741 9.4571
Na 6.3960 8.5419 0.1928
Na 5.9785 11.8451 4.9768
P 2.0409 0.0493 6.5700
P 2.4583 6.7463 1.7860
P 3.1796 9.0373 0.0098
P 2.7622 11.3497 4.7939
P 2.9370 2.2416 4.7742
P 2.5195 4.5541 9.5582
P 3.2408 6.8450 7.7820
P 3.6583 13.5420 2.9980
O -0.3125 8.3151 3.7632
O -0.7300 12.0719 8.5472
O 0.0493 8.2691 4.9406
O 0.4668 12.1179 0.1566
O 0.7010 0.0597 5.8964
O 1.1185 6.7360 1.1124
O 1.8432 9.6954 0.0862
O 1.4257 10.6916 4.8702
O 1.6835 3.0784 4.7419
O 1.2661 3.7172 9.5259
O 2.5472 6.8153 3.2826
O 2.1297 13.5717 8.0666
O 2.7238 1.1599 3.5674
O 2.3063 5.6358 8.3514
O 2.3486 8.1266 8.2238
O 2.7661 12.2604 3.4398
O 2.9330 1.3309 6.1282
O 3.3505 5.4648 1.3442
O 3.3928 7.9556 1.2166
O 2.9753 12.4315 6.0006
O 3.5694 0.0197 1.5014
O 3.1520 6.7760 6.2855
O 4.4331 9.8741 0.0421
O 4.0156 10.5129 4.8261
O 4.2734 2.8997 4.6979
O 3.8559 3.8960 9.4819
O 4.5807 6.8553 8.4556
O 4.9981 13.5317 3.6716
O 5.2323 1.4734 9.4114
O 5.6498 5.3222 4.6274
O 6.4291 1.5195 1.0209
O 6.0116 5.2762 5.8049
```

Peak list (10 most intense, 10° ≤ 2θ ≤ 80°, in order of rising 2θ)
- 2θ 11.31, rel. 58
- 2θ 13.03, rel. 36
- 2θ 13.60, rel. 100
- 2θ 18.34, rel. 50
- 2θ 18.55, rel. 91
- 2θ 22.73, rel. 48
- 2θ 25.26, rel. 33
- 2θ 25.72, rel. 36
- 2θ 27.41, rel. 39
- 2θ 34.34, rel. 31

---

[7]
Structure and simulated powder diffractogram of KYNb6Cl18 (a DFT-relaxed cell (GGA-PBE, the Materials Project); Cu Kα X-rays).
Neutral-atom scattering factors, no anomalous dispersion.

Atomic structure:
```
26
Lattice="4.7134 2.7213 8.6089 -4.7134 2.7213 8.6089 0.0000 -5.4426 8.6089" Properties=species:S:1:pos:R:3 pbc="T T T"
K 0.0000 0.0000 0.0000
Y 0.0000 0.0000 7.1422
Nb -1.6557 0.3328 18.9021
Nb -1.1092 -1.2734 21.2866
Nb 0.5396 -1.6002 18.9021
Nb -0.5482 1.5973 21.2866
Nb 1.1161 1.2674 18.9021
Nb 1.6574 -0.3239 21.2866
Cl -4.0708 0.6750 11.4646
Cl -3.4028 -1.2181 14.3111
Cl -2.1873 0.2622 8.7173
Cl -1.4565 -1.5791 11.5048
Cl -0.8865 -3.4365 14.2523
Cl 0.8665 -2.0253 8.7173
Cl 1.4508 -3.8630 11.4646
Cl -2.5328 2.4860 14.2523
Cl -1.3127 -1.4953 17.2701
Cl -0.6393 2.0509 11.5048
Cl 1.3207 1.7631 8.7173
Cl 2.0958 -0.4718 11.5048
Cl 2.7563 -2.3379 14.3111
Cl -0.6386 1.8845 17.2701
Cl 0.6465 3.5560 14.3111
Cl 1.9513 -0.3892 17.2701
Cl 2.6200 3.1879 11.4646
Cl 3.4194 0.9505 14.2523
```

Peak list (10 most intense, 10° ≤ 2θ ≤ 80°, in order of rising 2θ)
- 2θ 10.28, rel. 27
- 2θ 11.37, rel. 44
- 2θ 12.83, rel. 100
- 2θ 21.49, rel. 13
- 2θ 33.84, rel. 51
- 2θ 38.02, rel. 15
- 2θ 39.96, rel. 13
- 2θ 40.44, rel. 34
- 2θ 51.28, rel. 19
- 2θ 54.97, rel. 13

---

[8]
Structure and simulated powder diffractogram of Ce3Ta2N6 (a DFT-relaxed cell (GGA-PBE, the Materials Project); Cu Kα X-rays).
Neutral-atom scattering factors, no anomalous dispersion.

Atomic structure:
```
11
Lattice="-2.0229 2.0229 9.7433 2.0229 -2.0229 9.7433 2.0229 2.0229 -9.7433" Properties=species:S:1:pos:R:3 pbc="T T T"
Ce 0.0000 0.0000 0.0000
Ce 0.0000 0.0000 3.5283
Ce 0.0000 0.0000 15.9583
Ta 0.0000 0.0000 7.8059
Ta 0.0000 0.0000 11.6807
N 2.0229 0.0000 1.6301
N 0.0000 0.0000 5.8256
N 2.0229 0.0000 8.1132
N 0.0000 2.0229 1.6301
N 0.0000 0.0000 13.6610
N 0.0000 2.0229 8.1132
```

Peak list (10 most intense, 10° ≤ 2θ ≤ 80°, in order of rising 2θ)
- 2θ 18.21, rel. 9
- 2θ 31.27, rel. 60
- 2θ 31.88, rel. 100
- 2θ 44.80, rel. 29
- 2θ 56.04, rel. 41
- 2θ 57.20, rel. 14
- 2θ 65.22, rel. 9
- 2θ 66.64, rel. 10
- 2θ 74.11, rel. 10
- 2θ 74.44, rel. 9

---

What did the third record say?
Structure and simulated powder diffractogram of Ba2CaSm2Ti3Cu2O14 (a DFT-relaxed cell (GGA-PBE, the Materials Project); Cu Kα X-rays).
Neutral-atom scattering factors, no anomalous dispersion.

Atomic structure:
```
24
Lattice="3.8862 0.0000 0.0000 0.0000 3.8862 0.0000 0.0000 0.0000 20.7811" Properties=species:S:1:pos:R:3 pbc="T T T"
Ba 0.0000 0.0000 3.5240
Ba 0.0000 0.0000 17.2571
Ca 0.0000 0.0000 0.0000
Sm 0.0000 0.0000 8.2374
Sm 0.0000 0.0000 12.5437
Ti 1.9431 1.9431 6.2744
Ti 1.9431 1.9431 10.3905
Ti 1.9431 1.9431 14.5067
Cu 1.9431 1.9431 1.4954
Cu 1.9431 1.9431 19.2857
O 0.0000 1.9431 1.5845
O 0.0000 1.9431 6.6828
O 0.0000 1.9431 10.3905
O 0.0000 1.9431 14.0983
O 0.0000 1.9431 19.1966
O 1.9431 0.0000 1.5845
O 1.9431 0.0000 6.6828
O 1.9431 0.0000 10.3905
O 1.9431 0.0000 14.0983
O 1.9431 0.0000 19.1966
O 1.9431 1.9431 4.4921
O 1.9431 1.9431 8.4674
O 1.9431 1.9431 12.3137
O 1.9431 1.9431 16.2890
```

Peak list (10 most intense, 10° ≤ 2θ ≤ 80°, in order of rising 2θ)
- 2θ 17.07, rel. 21
- 2θ 22.88, rel. 16
- 2θ 28.69, rel. 40
- 2θ 31.52, rel. 100
- 2θ 32.58, rel. 65
- 2θ 38.15, rel. 14
- 2θ 39.30, rel. 26
- 2θ 46.75, rel. 45
- 2θ 51.71, rel. 22
- 2θ 57.47, rel. 36